[1]
This entry pairs a crystal structure of Ba3Sc3N5 with its simulated PXRD pattern. Radiation: copper Kα. Structure: a structure optimized by DFT (GGA-PBE).
Intensities are scaled so that the largest is 100.

Top 8 peaks for 2θ = 10–90°, sorted by position:
2θ/deg	I (rel.)
26.75	62
28.89	72
29.46	47
29.74	71
30.50	100
33.24	39
35.95	34
55.12	22

Atomic structure:
Lattice parameters (Å, degrees): 6.299 8.368 9.512 110.41 103.47 100.49
Atoms (fractional coordinates):
Ba: 0.169 0.351 0.388
Ba: 0.188 0.152 0.718
Ba: 0.270 0.934 0.100
Ba: 0.730 0.066 0.900
Ba: 0.812 0.848 0.282
Ba: 0.831 0.649 0.612
Sc: 0.200 0.472 0.089
Sc: 0.393 0.622 0.797
Sc: 0.405 0.813 0.475
Sc: 0.595 0.187 0.525
Sc: 0.607 0.378 0.203
Sc: 0.800 0.528 0.911
N: 0.135 0.553 0.896
N: 0.274 0.225 0.037
N: 0.274 0.996 0.398
N: 0.284 0.732 0.636
N: 0.479 0.597 0.306
N: 0.521 0.403 0.694
N: 0.716 0.268 0.364
N: 0.726 0.004 0.602
N: 0.726 0.775 0.963
N: 0.865 0.447 0.104


[2]
This entry pairs a crystal structure of In7Pt3 with its simulated PXRD pattern. Radiation: copper Kα. Structure: a structure optimized by DFT (GGA-PBE).
Intensities are scaled so that the largest is 100.

Top 8 peaks for 2θ = 10–90°, sorted by position:
2θ/deg	I (rel.)
22.68	31
32.29	31
34.96	23
39.83	100
46.32	19
57.59	20
72.30	35
81.41	18

Atomic structure:
Lattice parameters (Å, degrees): 8.316 8.316 8.316 109.47 109.47 109.47
Atoms (fractional coordinates):
In: 0.000 0.000 0.326
In: 0.000 0.000 0.674
In: 0.000 0.326 0.000
In: 0.000 0.674 0.000
In: 0.250 0.500 0.750
In: 0.250 0.750 0.500
In: 0.326 0.000 0.000
In: 0.326 0.326 0.326
In: 0.500 0.250 0.750
In: 0.500 0.750 0.250
In: 0.674 0.000 0.000
In: 0.674 0.674 0.674
In: 0.750 0.250 0.500
In: 0.750 0.500 0.250
Pt: 0.000 0.344 0.344
Pt: 0.000 0.656 0.656
Pt: 0.344 0.000 0.344
Pt: 0.344 0.344 0.000
Pt: 0.656 0.000 0.656
Pt: 0.656 0.656 0.000


[3]
This entry pairs a crystal structure of SrSn2Au2 with its simulated PXRD pattern. Radiation: copper Kα. Structure: a structure optimized by DFT (GGA-PBE).
Intensities are scaled so that the largest is 100.

Top 8 peaks for 2θ = 10–90°, sorted by position:
2θ/deg	I (rel.)
20.14	31
30.09	41
30.76	100
37.60	80
41.50	69
54.22	28
63.63	29
70.52	30

Atomic structure:
Lattice parameters (Å, degrees): 4.785 4.785 11.366 90.00 90.00 90.00
Atoms (fractional coordinates):
Sr: 0.250 0.250 0.240
Sr: 0.750 0.750 0.760
Sn: 0.250 0.250 0.872
Sn: 0.250 0.750 0.500
Sn: 0.750 0.250 0.500
Sn: 0.750 0.750 0.128
Au: 0.250 0.250 0.637
Au: 0.250 0.750 0.000
Au: 0.750 0.250 0.000
Au: 0.750 0.750 0.363


[4]
This entry pairs a crystal structure of Y2Ge5Ir3 with its simulated PXRD pattern. Radiation: copper Kα. Structure: a structure optimized by DFT (GGA-PBE).
Intensities are scaled so that the largest is 100.

Top 8 peaks for 2θ = 10–90°, sorted by position:
2θ/deg	I (rel.)
22.76	32
24.23	38
31.75	32
33.62	91
34.38	62
35.06	50
42.84	100
46.27	39

Atomic structure:
Lattice parameters (Å, degrees): 8.397 8.397 8.397 104.22 90.79 137.78
Atoms (fractional coordinates):
Y: 0.134 0.226 0.360
Y: 0.366 0.726 0.092
Y: 0.634 0.274 0.908
Y: 0.866 0.774 0.640
Ge: 0.027 0.750 0.277
Ge: 0.098 0.662 0.760
Ge: 0.250 0.250 0.000
Ge: 0.402 0.162 0.564
Ge: 0.473 0.750 0.723
Ge: 0.527 0.250 0.277
Ge: 0.598 0.838 0.436
Ge: 0.750 0.750 0.000
Ge: 0.902 0.338 0.240
Ge: 0.973 0.250 0.723
Ir: 0.142 0.889 0.031
Ir: 0.250 0.750 0.500
Ir: 0.358 0.389 0.747
Ir: 0.642 0.611 0.253
Ir: 0.750 0.250 0.500
Ir: 0.858 0.111 0.969


[5]
This entry pairs a crystal structure of TiZn2O4 with its simulated PXRD pattern. Radiation: copper Kα. Structure: a structure optimized by DFT (GGA-PBE).
Intensities are scaled so that the largest is 100.

Top 8 peaks for 2θ = 10–90°, sorted by position:
2θ/deg	I (rel.)
29.40	17
29.54	34
34.65	100
34.89	50
55.59	30
56.08	15
61.00	22
61.30	43

Atomic structure:
Lattice parameters (Å, degrees): 6.076 6.076 8.516 90.00 90.00 90.00
Atoms (fractional coordinates):
Ti: 0.000 0.261 0.000
Ti: 0.000 0.739 0.500
Ti: 0.261 0.000 0.750
Ti: 0.739 0.000 0.250
Zn: 0.247 0.247 0.375
Zn: 0.247 0.753 0.125
Zn: 0.255 0.500 0.750
Zn: 0.500 0.255 0.000
Zn: 0.500 0.745 0.500
Zn: 0.745 0.500 0.250
Zn: 0.753 0.247 0.625
Zn: 0.753 0.753 0.875
O: 0.014 0.234 0.768
O: 0.014 0.766 0.732
O: 0.234 0.014 0.982
O: 0.234 0.474 0.001
O: 0.234 0.526 0.499
O: 0.234 0.986 0.518
O: 0.474 0.234 0.749
O: 0.474 0.766 0.751
O: 0.526 0.234 0.251
O: 0.526 0.766 0.249
O: 0.766 0.014 0.018
O: 0.766 0.474 0.999
O: 0.766 0.526 0.501
O: 0.766 0.986 0.482
O: 0.986 0.234 0.232
O: 0.986 0.766 0.268


[6]
This entry pairs a crystal structure of Mg9Si5 with its simulated PXRD pattern. Radiation: copper Kα. Structure: a structure optimized by DFT (GGA-PBE).
Intensities are scaled so that the largest is 100.

Top 8 peaks for 2θ = 10–90°, sorted by position:
2θ/deg	I (rel.)
33.18	100
36.27	81
38.30	46
43.68	52
44.20	37
44.44	44
63.89	29
69.82	27

Atomic structure:
Lattice parameters (Å, degrees): 7.179 7.179 12.293 90.00 90.00 120.00
Atoms (fractional coordinates):
Mg: 0.072 0.346 0.250
Mg: 0.085 0.406 0.583
Mg: 0.085 0.406 0.917
Mg: 0.274 0.928 0.250
Mg: 0.321 0.915 0.583
Mg: 0.321 0.915 0.917
Mg: 0.346 0.274 0.750
Mg: 0.406 0.321 0.083
Mg: 0.406 0.321 0.417
Mg: 0.594 0.679 0.583
Mg: 0.594 0.679 0.917
Mg: 0.654 0.726 0.250
Mg: 0.679 0.085 0.083
Mg: 0.679 0.085 0.417
Mg: 0.726 0.072 0.750
Mg: 0.915 0.594 0.083
Mg: 0.915 0.594 0.417
Mg: 0.928 0.654 0.750
Si: 0.000 0.000 0.102
Si: 0.000 0.000 0.398
Si: 0.000 0.000 0.602
Si: 0.000 0.000 0.898
Si: 0.333 0.667 0.088
Si: 0.333 0.667 0.412
Si: 0.333 0.667 0.750
Si: 0.667 0.333 0.250
Si: 0.667 0.333 0.588
Si: 0.667 0.333 0.912


[7]
This entry pairs a crystal structure of PrMg2Cu9 with its simulated PXRD pattern. Radiation: copper Kα. Structure: a structure optimized by DFT (GGA-PBE).
Intensities are scaled so that the largest is 100.

Top 8 peaks for 2θ = 10–90°, sorted by position:
2θ/deg	I (rel.)
10.94	34
26.20	22
34.46	20
35.46	21
41.57	39
42.12	100
44.85	29
68.24	22

Atomic structure:
Lattice parameters (Å, degrees): 5.062 5.062 16.168 90.00 90.00 120.00
Atoms (fractional coordinates):
Pr: 0.333 0.667 0.250
Pr: 0.667 0.333 0.750
Mg: 0.333 0.667 0.031
Mg: 0.333 0.667 0.469
Mg: 0.667 0.333 0.531
Mg: 0.667 0.333 0.969
Cu: 0.000 0.000 0.000
Cu: 0.000 0.000 0.250
Cu: 0.000 0.000 0.500
Cu: 0.000 0.000 0.750
Cu: 0.168 0.336 0.622
Cu: 0.168 0.336 0.878
Cu: 0.168 0.832 0.622
Cu: 0.168 0.832 0.878
Cu: 0.333 0.667 0.750
Cu: 0.336 0.168 0.122
Cu: 0.336 0.168 0.378
Cu: 0.664 0.832 0.622
Cu: 0.664 0.832 0.878
Cu: 0.667 0.333 0.250
Cu: 0.832 0.168 0.122
Cu: 0.832 0.168 0.378
Cu: 0.832 0.664 0.122
Cu: 0.832 0.664 0.378


[8]
This entry pairs a crystal structure of SnH4 with its simulated PXRD pattern. Radiation: copper Kα. Structure: a structure optimized by DFT (GGA-PBE).
Intensities are scaled so that the largest is 100.

Top 8 peaks for 2θ = 10–90°, sorted by position:
2θ/deg	I (rel.)
21.47	75
26.02	93
27.29	41
33.98	100
34.99	46
51.61	31
52.66	29
58.33	22

Atomic structure:
Lattice parameters (Å, degrees): 8.276 3.836 3.836 116.81 90.00 90.00
Atoms (fractional coordinates):
Sn: 0.000 0.000 0.000
Sn: 0.500 0.000 0.000
H: 0.084 0.817 0.475
H: 0.250 0.383 0.827
H: 0.250 0.466 0.678
H: 0.416 0.817 0.475
H: 0.584 0.475 0.817
H: 0.750 0.678 0.466
H: 0.750 0.827 0.383
H: 0.916 0.475 0.817


[9]
This entry pairs a crystal structure of FePtC6N6 with its simulated PXRD pattern. Radiation: copper Kα. Structure: a structure optimized by DFT (GGA-PBE).
Intensities are scaled so that the largest is 100.

Top 8 peaks for 2θ = 10–90°, sorted by position:
2θ/deg	I (rel.)
15.12	23
17.48	100
24.82	42
29.19	19
35.39	21
39.73	34
43.71	13
54.25	16

Atomic structure:
Lattice parameters (Å, degrees): 7.174 7.174 7.174 60.00 60.00 60.00
Atoms (fractional coordinates):
Fe: 0.000 0.000 0.000
Pt: 0.500 0.500 0.500
C: 0.301 0.301 0.699
C: 0.301 0.699 0.301
C: 0.301 0.699 0.699
C: 0.699 0.301 0.301
C: 0.699 0.301 0.699
C: 0.699 0.699 0.301
N: 0.186 0.186 0.814
N: 0.186 0.814 0.186
N: 0.186 0.814 0.814
N: 0.814 0.186 0.186
N: 0.814 0.186 0.814
N: 0.814 0.814 0.186